No. 1
Calculated X-ray diffraction stick pattern of Na3DyHg12 for Cu Kα (weighted mean of Kα1 and Kα2), from a PBE-relaxed structure.
Kinematic intensities with the Lorentz-polarization factor, no thermal factor.

Main lines, sorted by position (5 to 70 degrees two-theta):
- 2θ 19.0, 4.682 Å, intensity 4.4
- 2θ 19.1, 4.640 Å, intensity 8.7
- 2θ 27.1, 3.296 Å, intensity 7.8
- 2θ 33.3, 2.687 Å, intensity 100.0
- 2θ 38.5, 2.341 Å, intensity 16.9
- 2θ 38.8, 2.320 Å, intensity 33.9
- 2θ 55.8, 1.648 Å, intensity 23.2
- 2θ 56.1, 1.641 Å, intensity 11.9
- 2θ 66.3, 1.409 Å, intensity 13.6
- 2θ 66.8, 1.400 Å, intensity 27.5

Structure:
Cell: 4.6402 4.6402 18.7297 Å, 90.00 90.00 90.00°
Fractional coordinates of all 16 atoms:
Na  0.0000  0.0000  0.0000
Na  0.0000  0.0000  0.2519
Na  0.0000  0.0000  0.7481
Dy  0.0000  0.0000  0.5000
Hg  0.0000  0.5000  0.1271
Hg  0.0000  0.5000  0.3776
Hg  0.0000  0.5000  0.6224
Hg  0.0000  0.5000  0.8729
Hg  0.5000  0.0000  0.1271
Hg  0.5000  0.0000  0.3776
Hg  0.5000  0.0000  0.6224
Hg  0.5000  0.0000  0.8729
Hg  0.5000  0.5000  0.0000
Hg  0.5000  0.5000  0.2542
Hg  0.5000  0.5000  0.5000
Hg  0.5000  0.5000  0.7458

***

No. 2
Calculated X-ray diffraction stick pattern of NaPr2S2O8F3 for Cu Kα (weighted mean of Kα1 and Kα2), from a PBE-relaxed structure.
Kinematic intensities with the Lorentz-polarization factor, no thermal factor.

Main lines, sorted by position (5 to 70 degrees two-theta):
- 2θ 14.1, 6.274 Å, intensity 92.5
- 2θ 16.6, 5.335 Å, intensity 46.9
- 2θ 25.0, 3.564 Å, intensity 48.5
- 2θ 26.0, 3.431 Å, intensity 74.6
- 2θ 26.3, 3.384 Å, intensity 44.6
- 2θ 28.7, 3.113 Å, intensity 100.0
- 2θ 30.1, 2.971 Å, intensity 78.9
- 2θ 41.9, 2.154 Å, intensity 34.6
- 2θ 45.6, 1.988 Å, intensity 39.2
- 2θ 47.3, 1.921 Å, intensity 37.6

Structure:
Cell: 8.6541 8.6541 8.3036 Å, 113.46 113.46 47.62°
Fractional coordinates of all 32 atoms:
Na  0.1205  0.8795  0.7500
Na  0.8795  0.1205  0.2500
Pr  0.2883  0.4719  0.0380
Pr  0.4719  0.2883  0.5380
Pr  0.5281  0.7117  0.4620
Pr  0.7117  0.5281  0.9620
S  0.0921  0.2664  0.6611
S  0.2664  0.0921  0.1611
S  0.7336  0.9079  0.8389
S  0.9079  0.7336  0.3389
O  0.0326  0.2084  0.1119
O  0.0424  0.3471  0.8441
O  0.1056  0.6307  0.4747
O  0.2084  0.0326  0.6119
O  0.2267  0.3244  0.6793
O  0.3244  0.2267  0.1793
O  0.3471  0.0424  0.3441
O  0.3693  0.8944  0.0253
O  0.6307  0.1056  0.9747
O  0.6529  0.9576  0.6559
O  0.6756  0.7733  0.8207
O  0.7733  0.6756  0.3207
O  0.7916  0.9674  0.3881
O  0.8944  0.3693  0.5253
O  0.9576  0.6529  0.1559
O  0.9674  0.7916  0.8881
F  0.2149  0.7851  0.2500
F  0.3982  0.5114  0.8398
F  0.4886  0.6018  0.6602
F  0.5114  0.3982  0.3398
F  0.6018  0.4886  0.1602
F  0.7851  0.2149  0.7500

***

No. 3
Calculated X-ray diffraction stick pattern of Ce5SmPb4 for Cu Kα (weighted mean of Kα1 and Kα2), from a PBE-relaxed structure.
Kinematic intensities with the Lorentz-polarization factor, no thermal factor.

Main lines, sorted by position (5 to 70 degrees two-theta):
- 2θ 28.6, 3.125 Å, intensity 18.7
- 2θ 28.7, 3.113 Å, intensity 28.9
- 2θ 30.0, 2.979 Å, intensity 15.5
- 2θ 30.2, 2.962 Å, intensity 100.0
- 2θ 34.3, 2.612 Å, intensity 54.8
- 2θ 37.6, 2.395 Å, intensity 32.8
- 2θ 41.3, 2.185 Å, intensity 31.0
- 2θ 44.8, 2.022 Å, intensity 17.4
- 2θ 47.9, 1.898 Å, intensity 14.5
- 2θ 59.9, 1.545 Å, intensity 15.2

Structure:
Cell: 8.5669 8.5669 8.2953 Å, 108.00 108.00 32.47°
Fractional coordinates of all 10 atoms:
Ce  0.0000  0.0000  0.0000
Ce  0.2286  0.2286  0.3821
Ce  0.3737  0.3737  0.0471
Ce  0.6263  0.6263  0.9529
Ce  0.7714  0.7714  0.6179
Sm  0.0000  0.0000  0.5000
Pb  0.1850  0.1850  0.7689
Pb  0.4266  0.4266  0.6928
Pb  0.5734  0.5734  0.3072
Pb  0.8150  0.8150  0.2311

***

No. 4
Calculated X-ray diffraction stick pattern of DyH8Ir2Pb for Cu Kα (weighted mean of Kα1 and Kα2), from a PBE-relaxed structure.
Kinematic intensities with the Lorentz-polarization factor, no thermal factor.

Main lines, sorted by position (5 to 70 degrees two-theta):
- 2θ 28.3, 3.158 Å, intensity 100.0
- 2θ 30.3, 2.947 Å, intensity 0.8
- 2θ 38.1, 2.359 Å, intensity 45.7
- 2θ 42.5, 2.126 Å, intensity 34.2
- 2θ 44.2, 2.049 Å, intensity 9.9
- 2θ 51.8, 1.763 Å, intensity 19.4
- 2θ 58.4, 1.579 Å, intensity 13.3
- 2θ 63.0, 1.475 Å, intensity 21.3
- 2θ 65.9, 1.418 Å, intensity 9.2
- 2θ 69.2, 1.357 Å, intensity 16.4

Structure:
Cell: 8.5538 8.5538 8.5538 Å, 28.78 28.78 28.78°
Fractional coordinates of all 12 atoms:
Dy  0.0000  0.0000  0.0000
H  0.0819  0.5263  0.5263
H  0.1842  0.1842  0.1842
H  0.4737  0.4737  0.9181
H  0.4737  0.9181  0.4737
H  0.5263  0.0819  0.5263
H  0.5263  0.5263  0.0819
H  0.8158  0.8158  0.8158
H  0.9181  0.4737  0.4737
Ir  0.2525  0.2525  0.2525
Ir  0.7475  0.7475  0.7475
Pb  0.5000  0.5000  0.5000